Record 1
# Cs2Si2PdSe6
Computed powder diffractogram, Cu Ka. Input: DFT lattice parameters and positions (GGA-PBE).

Structural model:
```
11
Lattice="3.6617 2.1141 7.7810 -3.6617 2.1141 7.7810 0.0000 -4.2281 7.7810" Properties=species:S:1:pos:R:3 pbc="T T T"
Cs 0.0000 0.0000 5.2295
Cs 0.0000 0.0000 18.1134
Si 0.0000 0.0000 9.3573
Si 0.0000 0.0000 13.9856
Pd 0.0000 0.0000 0.0000
Se 0.0000 -2.2158 9.5299
Se -1.9190 1.1079 9.5299
Se -1.9190 -1.1079 13.8130
Se 1.9190 1.1079 9.5299
Se 1.9190 -1.1079 13.8130
Se 0.0000 2.2158 13.8130
```

Top 8 peaks for 2θ = 10–90°, low angle first:
Position (°2θ)  d_spacing  I/Imax
22.86  3.890  43.8
23.66  3.760  55.7
29.18  3.060  83.9
32.12  2.786  100.0
42.08  2.147  34.1
42.39  2.132  35.8
42.73  2.116  31.7
49.81  1.831  42.0



Record 2
# Cs2TePdSe4
Computed powder diffractogram, Cu Ka. Input: DFT lattice parameters and positions (GGA-PBE).

Structural model:
```
16
Lattice="0.0000 8.6977 11.7683 2.6520 0.0000 11.7683 2.6520 8.6977 0.0000" Properties=species:S:1:pos:R:3 pbc="T T T"
Cs 1.9890 6.5233 1.4485
Cs 3.3150 10.8721 7.3327
Cs 1.9890 6.5233 16.2039
Cs 3.3150 10.8721 22.0880
Te 1.9890 6.5233 8.8262
Te 3.3150 10.8721 14.7103
Pd 0.6630 2.1744 2.9421
Pd 4.6410 15.2210 20.5945
Se 2.1290 3.9432 4.6936
Se 3.1749 8.2920 10.5778
Se 1.8489 9.1034 4.6936
Se 1.8489 3.9432 12.9588
Se 3.4550 13.4522 10.5778
Se 3.4550 8.2920 18.8429
Se 2.1290 9.1034 12.9588
Se 3.1749 13.4522 18.8429
```

Top 8 peaks for 2θ = 10–90°, low angle first:
Position (°2θ)  d_spacing  I/Imax
23.04  3.861  18.2
24.90  3.576  30.3
25.44  3.501  100.0
29.69  3.009  30.7
38.62  2.331  46.4
41.08  2.197  36.7
41.53  2.174  23.5
46.40  1.957  25.8



Record 3
# CsUPdSe2
Computed powder diffractogram, Cu Ka. Input: DFT lattice parameters and positions (GGA-PBE).

Structural model:
```
10
Lattice="3.2362 -8.5755 0.0000 3.2362 8.5755 0.0000 0.0000 0.0000 5.4735" Properties=species:S:1:pos:R:3 pbc="T T T"
Cs 3.2362 4.2878 4.1856
Cs 3.2362 -4.2878 1.2879
U 1.6181 0.0000 2.7368
U 4.8544 0.0000 2.7368
Pd 0.0000 0.0000 0.0000
Pd 3.2362 0.0000 0.0000
Se 3.2362 6.5633 1.4768
Se 3.2362 2.0122 1.4768
Se 3.2362 -2.0122 3.9968
Se 3.2362 -6.5633 3.9968
```

Top 8 peaks for 2θ = 10–90°, low angle first:
Position (°2θ)  d_spacing  I/Imax
10.32  8.576  100.0
20.72  4.288  42.0
26.42  3.374  70.0
32.13  2.786  32.4
33.82  2.650  77.9
34.40  2.607  50.5
38.54  2.336  49.8
42.16  2.143  39.3



Record 4
# CsU4Pd3Se12
Computed powder diffractogram, Cu Ka. Input: DFT lattice parameters and positions (GGA-PBE).

Structural model:
```
20
Lattice="-5.1457 5.1457 5.1457 5.1457 -5.1457 5.1457 5.1457 5.1457 -5.1457" Properties=species:S:1:pos:R:3 pbc="T T T"
Cs 0.0000 0.0000 0.0000
U 2.5728 2.5728 -2.5728
U 2.5728 -2.5728 2.5728
U -2.5728 2.5728 2.5728
U 2.5728 2.5728 2.5728
Pd 5.1457 0.0000 0.0000
Pd 0.0000 5.1457 0.0000
Pd 0.0000 0.0000 5.1457
Se 5.1457 3.4189 -1.8491
Se 3.2966 0.0000 1.7268
Se 6.9948 0.0000 1.7268
Se 1.7268 3.2966 0.0000
Se 3.4189 -1.8491 5.1457
Se 0.0000 1.7268 3.2966
Se 5.1457 3.4189 1.8491
Se 1.7268 6.9948 0.0000
Se 3.4189 1.8491 5.1457
Se -1.8491 5.1457 3.4189
Se 1.8491 5.1457 3.4189
Se 0.0000 1.7268 6.9948
```

Top 8 peaks for 2θ = 10–90°, low angle first:
Position (°2θ)  d_spacing  I/Imax
24.46  3.639  100.0
27.41  3.254  30.1
34.87  2.573  36.3
39.15  2.301  23.4
43.06  2.101  95.7
56.56  1.627  29.3
68.19  1.375  27.1
78.93  1.213  36.2



Record 5
# Cs2SiTe4Pd
Computed powder diffractogram, Cu Ka. Input: DFT lattice parameters and positions (GGA-PBE).

Structural model:
```
16
Lattice="0.0000 6.4999 13.4208 3.7218 0.0000 13.4208 3.7218 6.4999 0.0000" Properties=species:S:1:pos:R:3 pbc="T T T"
Cs 2.7914 4.8749 1.6938
Cs 4.6523 8.1249 8.4042
Cs 2.7914 4.8749 18.4374
Cs 4.6523 8.1249 25.1478
Si 2.7914 4.8749 10.0656
Si 4.6523 8.1249 16.7760
Te 4.5810 4.0081 8.4619
Te 4.5810 5.7418 11.6693
Te 6.4419 7.2580 18.3797
Te 6.4419 8.9918 15.1723
Te 1.0017 4.0081 11.6693
Te 1.0017 5.7418 8.4619
Te 2.8627 7.2580 15.1723
Te 2.8627 8.9918 18.3797
Pd 0.9305 1.6250 3.3552
Pd 6.5132 11.3749 23.4864
```

Top 8 peaks for 2θ = 10–90°, low angle first:
Position (°2θ)  d_spacing  I/Imax
15.15  5.850  31.8
23.99  3.709  31.8
24.83  3.586  41.3
25.79  3.455  78.9
26.57  3.355  39.6
29.07  3.071  100.0
31.26  2.861  54.4
41.48  2.177  33.7



Record 6
# CsSnPd
Computed powder diffractogram, Cu Ka. Input: DFT lattice parameters and positions (GGA-PBE).

Structural model:
```
12
Lattice="4.8240 0.0000 0.0000 0.0000 5.0514 0.0000 0.0000 0.0000 17.3549" Properties=species:S:1:pos:R:3 pbc="T T T"
Cs 1.1848 0.2402 2.9014
Cs 1.2272 4.8112 11.5788
Cs 3.5969 2.2855 14.4535
Cs 3.6392 2.7659 5.7761
Sn 1.1810 4.7170 16.3230
Sn 1.2310 0.3343 7.6456
Sn 3.5930 2.8600 1.0318
Sn 3.6431 2.1914 9.7092
Pd 1.1810 2.1757 0.0150
Pd 1.2310 2.8757 8.6925
Pd 3.5930 0.3500 17.3398
Pd 3.6430 4.7014 8.6624
```

Top 8 peaks for 2θ = 10–90°, low angle first:
Position (°2θ)  d_spacing  I/Imax
10.19  8.677  100.0
25.53  3.489  26.2
27.09  3.291  59.8
27.63  3.228  77.6
32.94  2.719  33.3
37.28  2.412  33.9
46.69  1.946  27.2
49.47  1.842  37.9



Record 7
# Cs2Te3Pd
Computed powder diffractogram, Cu Ka. Input: DFT lattice parameters and positions (GGA-PBE).

Structural model:
```
12
Lattice="7.3762 -5.1465 0.0000 7.3762 5.1465 0.0000 0.0000 0.0000 6.7391" Properties=species:S:1:pos:R:3 pbc="T T T"
Cs 5.2431 3.4866 3.3695
Cs 9.5093 3.4866 3.3695
Cs 5.2431 -3.4866 0.0000
Cs 9.5093 -3.4866 0.0000
Te 7.3762 3.4687 0.0009
Te 5.4347 0.0049 5.0623
Te 5.4347 -0.0049 1.6927
Te 9.3177 0.0049 5.0623
Te 9.3177 -0.0049 1.6927
Te 7.3762 -3.4687 3.3705
Pd 7.3762 0.7032 0.0100
Pd 7.3762 -0.7032 3.3795
```

Top 8 peaks for 2θ = 10–90°, low angle first:
Position (°2θ)  d_spacing  I/Imax
10.48  8.441  37.1
24.01  3.706  100.0
26.68  3.342  71.3
28.52  3.129  24.6
31.77  2.817  38.7
33.39  2.683  43.2
40.27  2.240  26.2
50.83  1.796  25.9



Record 8
# CsUTe4Pd
Computed powder diffractogram, Cu Ka. Input: DFT lattice parameters and positions (GGA-PBE).

Structural model:
```
14
Lattice="7.6266 0.0000 0.0000 0.0000 6.2405 0.0000 -3.1400 0.0000 10.1735" Properties=species:S:1:pos:R:3 pbc="T T T"
Cs 1.4848 1.5601 0.5148
Cs 3.0018 4.6804 9.6586
U 0.3551 1.5601 5.6179
U 4.1314 4.6804 4.5556
Te -2.0320 3.1465 6.9823
Te -2.0320 6.2142 6.9823
Te 1.4227 4.6804 6.0278
Te 3.1118 4.6804 1.7845
Te 1.3747 1.5601 8.3890
Te 3.0639 1.5601 4.1457
Te 6.5186 0.0263 3.1911
Te 6.5186 3.0940 3.1911
Pd 1.0267 4.6804 3.4313
Pd 3.4598 1.5601 6.7422
```

Top 8 peaks for 2θ = 10–90°, low angle first:
Position (°2θ)  d_spacing  I/Imax
25.52  3.490  74.3
28.09  3.177  100.0
28.61  3.120  41.8
29.33  3.045  80.8
31.18  2.868  78.5
33.71  2.659  73.4
37.24  2.414  61.7
37.97  2.370  42.1